Entry 1:
Diffraction record for Li7Fe3Si2O12. The powder X-ray diffraction pattern is theoretical, not measured: it uses a PBE+U-relaxed structure and a wavelength of 1.5418 Å.

Cell and atoms:
```
Li7Fe3Si2O12
1.0
2.496 -4.267 0.000
2.496 4.267 0.000
-1.504 0.000 9.700
Li Fe Si O
7 3 2 12
direct
0.000 0.000 0.000
0.083 0.403 0.243
0.248 0.248 0.757
0.403 0.083 0.243
0.597 0.917 0.757
0.752 0.752 0.243
0.917 0.597 0.757
0.164 0.836 0.500
0.500 0.500 0.500
0.836 0.164 0.500
0.333 0.667 0.000
0.667 0.333 0.000
0.032 0.657 0.103
0.108 0.108 0.373
0.216 0.540 0.616
0.343 0.968 0.897
0.407 0.407 0.103
0.460 0.784 0.384
0.540 0.216 0.616
0.593 0.593 0.897
0.657 0.032 0.103
0.784 0.460 0.384
0.892 0.892 0.627
0.968 0.343 0.897
```

Main lines, by angle (2θ = 10–80°):
d/Å, I/Imax
4.850, 100
2.466, 18
2.433, 20
2.074, 31
2.037, 59
1.584, 9
1.471, 16
1.458, 8
1.436, 16
1.423, 9


Entry 2:
Diffraction record for Na4Ta3VO12. The powder X-ray diffraction pattern is theoretical, not measured: it uses a PBE+U-relaxed structure and a wavelength of 1.5418 Å.

Cell and atoms:
```
Na4Ta3VO12
1.0
-3.935 3.935 3.935
3.935 -3.935 3.935
3.935 3.935 -3.935
Na Ta V O
4 3 1 12
direct
0.000 0.000 0.500
0.000 0.500 0.000
0.500 0.000 0.000
0.500 0.500 0.500
0.000 0.500 0.500
0.500 0.000 0.500
0.500 0.500 0.000
0.000 0.000 0.000
0.000 0.244 0.244
0.000 0.756 0.756
0.244 0.000 0.244
0.244 0.244 0.000
0.250 0.500 0.750
0.250 0.750 0.500
0.500 0.250 0.750
0.500 0.750 0.250
0.750 0.250 0.500
0.750 0.500 0.250
0.756 0.000 0.756
0.756 0.756 0.000
```

Main lines, by angle (2θ = 10–80°):
d/Å, I/Imax
5.565, 21
3.935, 100
3.213, 12
2.782, 100
1.967, 36
1.760, 41
1.606, 40
1.391, 21
1.312, 19
1.244, 17